Structure and computed X-ray diffraction stick pattern of Y4MgW4O20 (a crystal structure in Alexandria, relaxed with GGA+U; Cu Ka).

Cell and atoms:
a = 5.337 Å, b = 6.515 Å, c = 12.780 Å
α = 91.40°, β = 90.35°, γ = 109.28°
Space group P1 (No. 1)
Symmetry-distinct sites (fractional):
Y  0.000  0.000  0.000 [1 per cell]
Y  0.165  0.921  0.495 [1 per cell]
Y  0.477  0.497  0.387 [1 per cell]
Y  0.691  0.423  0.888 [1 per cell]
Mg  0.043  0.155  0.739 [1 per cell]
W  0.296  0.557  0.075 [1 per cell]
W  0.387  0.855  0.805 [1 per cell]
W  0.806  0.060  0.299 [1 per cell]
W  0.868  0.405  0.577 [1 per cell]
O  0.083  0.738  0.884 [1 per cell]
O  0.139  0.173  0.364 [1 per cell]
O  0.177  0.555  0.501 [1 per cell]
O  0.186  0.790  0.094 [1 per cell]
O  0.285  0.912  0.676 [1 per cell]
O  0.301  0.149  0.850 [1 per cell]
O  0.357  0.499  0.208 [1 per cell]
O  0.409  0.276  0.029 [1 per cell]
O  0.471  0.609  0.782 [1 per cell]
O  0.487  0.877  0.366 [1 per cell]
O  0.552  0.239  0.513 [1 per cell]
O  0.600  0.694  0.995 [1 per cell]
O  0.716  0.305  0.308 [1 per cell]
O  0.738  0.041  0.846 [1 per cell]
O  0.776  0.656  0.555 [1 per cell]
O  0.827  0.013  0.161 [1 per cell]
O  0.854  0.782  0.354 [1 per cell]
O  0.879  0.406  0.724 [1 per cell]
O  0.985  0.365  0.009 [1 per cell]
O  0.995  0.153  0.585 [1 per cell]

Principal peaks in the range 10 to 80 degrees two-theta, low angle first:
4.441 Å, rel. 100; 4.369 Å, rel. 38; 3.386 Å, rel. 40; 3.294 Å, rel. 37; 3.276 Å, rel. 60; 3.252 Å, rel. 44; 3.228 Å, rel. 47; 3.194 Å, rel. 44; 2.827 Å, rel. 43; 2.784 Å, rel. 41